Diffraction record for Li3VO3F. The X-ray diffraction stick pattern is computed, not measured: it uses a crystal structure in Alexandria, relaxed with GGA+U and Cu Kα (weighted mean of Kα1 and Kα2).
Lines closer than 0.1° are merged.

Most intense lines, 2θ = 5–70°, low angle first:
hkl 0 0 1, 2θ = 15.2°, I 56
hkl 0 1 0, 2θ = 18.4°, I 79
hkl 0 1 -1, 2θ = 23.5°, I 37
hkl 0 1 1, 2θ = 24.4°, I 15
hkl 1 0 1, 2θ = 24.5°, I 23
hkl -1 1 1, 2θ = 25.9°, I 18
hkl 1 -1 1, 2θ = 26.1°, I 17
hkl 0 2 -1, 2θ = 39.9°, I 13
hkl 2 -2 0, 2θ = 42.7°, I 100
hkl 1 1 2, 2θ = 45.0°, I 41
hkl -3 1 2, 2θ = 61.9°, I 13
hkl 0 0 4, 2θ = 63.7°, I 22

a = 5.136 Å, b = 5.164 Å, c = 5.845 Å
α = 91.23°, β = 92.00°, γ = 110.76°
Sites, in units of the cell vectors:
Li: 0.228 0.488 0.132
Li: 0.243 0.006 0.875
Li: 0.260 0.493 0.627
Li: 0.740 0.507 0.373
Li: 0.757 0.994 0.125
Li: 0.772 0.512 0.868
V: 0.232 0.976 0.378
V: 0.768 0.024 0.622
O: 0.005 0.223 0.388
O: 0.030 0.767 0.139
O: 0.499 0.772 0.398
O: 0.501 0.228 0.602
O: 0.970 0.233 0.861
O: 0.995 0.777 0.612
F: 0.488 0.250 0.128
F: 0.512 0.750 0.872